(1)
LaHfMg6: theoretical powder diffractogram (Cu Kα (λ = 1.5418 Å)), based on a DFT-relaxed cell (PBE, the Materials Project).
Intensities are scaled so that the largest is 100.

The 12 most intense peaks (2θ from 10° to 80°), by angle:
2θ = 15.5°, rel. 50.0; 2θ = 16.9°, rel. 39.0; 2θ = 23.0°, rel. 39.9; 2θ = 31.2°, rel. 42.1; 2θ = 32.0°, rel. 17.5; 2θ = 34.2°, rel. 22.7; 2θ = 35.7°, rel. 100.0; 2θ = 47.0°, rel. 27.1; 2θ = 55.5°, rel. 16.5; 2θ = 62.3°, rel. 19.5; 2θ = 66.9°, rel. 18.7; 2θ = 67.8°, rel. 14.9

Crystal structure
Unit cell a=5.239 b=6.620 c=6.620 alpha=59.97 beta=90.00 gamma=90.00
Positions (direct):
La: 0.000 0.000 0.000
Hf: 0.000 0.497 0.497
Mg: 0.000 0.003 0.501
Mg: 0.000 0.501 0.003
Mg: 0.500 0.176 0.176
Mg: 0.500 0.182 0.657
Mg: 0.500 0.657 0.182
Mg: 0.500 0.666 0.666



(2)
LaHfMg6: theoretical powder diffractogram (Cu Kα (λ = 1.5418 Å)), based on a DFT-relaxed cell (PBE, the Materials Project).
Intensities are scaled so that the largest is 100.

The 12 most intense peaks (2θ from 10° to 80°), by angle:
2θ = 15.4°, rel. 96.7; 2θ = 23.1°, rel. 51.9; 2θ = 26.9°, rel. 15.2; 2θ = 31.2°, rel. 24.5; 2θ = 32.0°, rel. 37.3; 2θ = 34.4°, rel. 24.6; 2θ = 35.7°, rel. 100.0; 2θ = 37.9°, rel. 21.7; 2θ = 41.6°, rel. 15.2; 2θ = 45.3°, rel. 20.3; 2θ = 47.1°, rel. 15.5; 2θ = 62.5°, rel. 19.3

Crystal structure
Unit cell a=5.212 b=6.622 c=6.622 alpha=60.13 beta=90.00 gamma=90.00
Positions (direct):
La: 0.000 0.000 0.000
Hf: 0.500 0.163 0.163
Mg: 0.000 0.002 0.486
Mg: 0.000 0.486 0.002
Mg: 0.000 0.493 0.493
Mg: 0.500 0.166 0.653
Mg: 0.500 0.653 0.166
Mg: 0.500 0.663 0.663